(1)
Computed X-ray diffraction stick pattern of SiO2 for Cu Kα (weighted mean of Kα1 and Kα2), from a structure optimized by DFT (GGA-PBE).
Lines closer than 0.1° are merged.

Structure:
a b c (Å): 14.4478 7.2237 9.1098
angles (deg): 90.00 90.00 90.00
Space group Pmma (No. 51)
Inequivalent atoms, fractional coordinates:
1 Si 0.0206 0.0000 0.1732 (multiplicity 4)
2 Si 0.1411 0.2844 0.3408 (multiplicity 8)
3 Si 0.1431 0.0000 0.5966 (multiplicity 4)
4 O 0.0000 0.0000 0.0000 (multiplicity 2)
5 O 0.0773 0.0000 0.7395 (multiplicity 4)
6 O 0.0794 0.1855 0.2140 (multiplicity 8)
7 O 0.1114 0.5000 0.3533 (multiplicity 4)
8 O 0.1225 0.1852 0.4990 (multiplicity 8)
9 O 0.2500 0.0000 0.6524 (multiplicity 2)
10 O 0.2500 0.2658 0.2961 (multiplicity 4)

Largest 10 diffraction maxima, sorted by position, 2θ from 10° to 80°:
11.48°, d 7.706, intensity 82, hkl 1 0 1; 12.25°, d 7.224, intensity 100, hkl 0 1 0; 15.66°, d 5.660, intensity 26, hkl 2 0 1; 16.82°, d 5.270, intensity 31, hkl 1 1 1; 17.36°, d 5.108, intensity 17, hkl 2 1 0; 23.90°, d 3.723, intensity 29, hkl 1 1 2; 24.65°, d 3.612, intensity 17, hkl 4 0 0; 26.55°, d 3.358, intensity 39, hkl 4 0 1; 27.27°, d 3.270, intensity 38, hkl 1 2 1; 32.23°, d 2.777, intensity 16, hkl 1 2 2

---

(2)
Computed X-ray diffraction stick pattern of Hf2PbC for Cu Kα (weighted mean of Kα1 and Kα2), from a structure optimized by DFT (GGA-PBE).
Lines closer than 0.1° are merged.

Structure:
a b c (Å): 3.3718 3.3718 14.7393
angles (deg): 90.00 90.00 120.00
Space group P6_3/mmc (No. 194)
Inequivalent atoms, fractional coordinates:
1 Hf 0.3333 0.6667 0.0821 (multiplicity 4)
2 Pb 0.3333 0.6667 0.7500 (multiplicity 2)
3 C 0.0000 0.0000 0.0000 (multiplicity 2)

Largest 10 diffraction maxima, sorted by position, 2θ from 10° to 80°:
30.62°, d 2.920, intensity 23, hkl 1 0 0; 35.77°, d 2.510, intensity 100, hkl 1 0 3; 36.58°, d 2.457, intensity 20, hkl 0 0 6; 48.42°, d 1.880, intensity 15, hkl 1 0 6; 54.42°, d 1.686, intensity 21, hkl 1 1 0; 63.74°, d 1.460, intensity 3, hkl 2 0 0; 65.33°, d 1.428, intensity 18, hkl 1 0 9; 66.85°, d 1.400, intensity 17, hkl 2 0 3; 67.37°, d 1.390, intensity 21, hkl 1 1 6; 75.79°, d 1.255, intensity 4, hkl 2 0 6

---

(3)
Computed X-ray diffraction stick pattern of Bi2CO5 for Cu Kα (weighted mean of Kα1 and Kα2), from a structure optimized by DFT (GGA-PBE).
Lines closer than 0.1° are merged.

Structure:
a b c (Å): 5.5667 14.1795 5.5677
angles (deg): 90.00 90.00 90.00
Space group Fmm2 (No. 42)
Inequivalent atoms, fractional coordinates:
1 Bi 0.0000 0.1624 0.0000 (multiplicity 8)
2 C 0.0000 0.0000 0.5437 (multiplicity 4)
3 O 0.0000 0.0000 0.7778 (multiplicity 4)
4 O 0.0000 0.0821 0.4391 (multiplicity 8)
5 O 0.2500 0.2500 0.2488 (multiplicity 8)

Largest 10 diffraction maxima, sorted by position, 2θ from 10° to 80°:
12.49°, d 7.090, intensity 30, hkl 0 2 0; 23.45°, d 3.793, intensity 31, hkl 1 1 1; 29.53°, d 3.025, intensity 100, hkl 1 3 1; 32.16°, d 2.784, intensity 40, hkl 2 0 0; 41.24°, d 2.189, intensity 18, hkl 0 4 2; 46.12°, d 1.968, intensity 18, hkl 2 0 2; 50.67°, d 1.801, intensity 34, hkl 2 6 0; 55.72°, d 1.650, intensity 35, hkl 1 3 3; 63.61°, d 1.463, intensity 11, hkl 1 9 1; 75.16°, d 1.264, intensity 10, hkl 3 3 3

---

(4)
Computed X-ray diffraction stick pattern of BaCu3O4 for Cu Kα (weighted mean of Kα1 and Kα2), from a structure optimized by DFT (GGA-PBE).
Lines closer than 0.1° are merged.

Structure:
a b c (Å): 5.5520 11.1034 4.0374
angles (deg): 90.00 90.00 90.00
Space group Cmmm (No. 65)
Inequivalent atoms, fractional coordinates:
1 Ba 0.0000 0.0000 0.0000 (multiplicity 2)
2 Cu 0.0000 0.2476 0.5000 (multiplicity 4)
3 Cu 0.0000 0.5000 0.5000 (multiplicity 2)
4 O 0.2451 0.3707 0.5000 (multiplicity 8)

Largest 10 diffraction maxima, sorted by position, 2θ from 10° to 80°:
22.02°, d 4.037, intensity 27, hkl 0 0 1; 27.31°, d 3.265, intensity 58, hkl 0 2 1; 28.49°, d 3.133, intensity 100, hkl 1 1 1; 32.25°, d 2.776, intensity 67, hkl 2 0 0; 36.70°, d 2.449, intensity 53, hkl 1 3 1; 42.75°, d 2.115, intensity 32, hkl 2 2 1; 44.90°, d 2.019, intensity 28, hkl 0 0 2; 46.25°, d 1.963, intensity 51, hkl 2 4 0; 56.35°, d 1.633, intensity 28, hkl 2 0 2; 66.43°, d 1.407, intensity 31, hkl 2 4 2

---

(5)
Computed X-ray diffraction stick pattern of K3NaP4H4O14 for Cu Kα (weighted mean of Kα1 and Kα2), from a structure optimized by DFT (GGA-PBE).
Lines closer than 0.1° are merged.

Structure:
a b c (Å): 17.1519 7.3037 11.1705
angles (deg): 90.00 100.22 90.00
Space group Cc (No. 9)
Inequivalent atoms, fractional coordinates:
1 K 0.0000 0.1677 0.0000 (multiplicity 4)
2 K 0.1387 0.3004 0.7223 (multiplicity 4)
3 K 0.2791 0.1678 0.4431 (multiplicity 4)
4 Na 0.3908 0.2491 0.9717 (multiplicity 4)
5 P 0.0710 0.2376 0.3640 (multiplicity 4)
6 P 0.2089 0.2453 0.0780 (multiplicity 4)
7 P 0.3347 0.4787 0.2275 (multiplicity 4)
8 P 0.4449 0.0211 0.7163 (multiplicity 4)
9 H 0.1369 0.4856 0.4636 (multiplicity 4)
10 H 0.1469 0.0833 0.2045 (multiplicity 4)
11 H 0.3393 0.1739 0.7376 (multiplicity 4)
12 H 0.4404 0.3246 0.2061 (multiplicity 4)
13 O 0.0084 0.3134 0.2459 (multiplicity 4)
14 O 0.0292 0.2057 0.4698 (multiplicity 4)
15 O 0.1085 0.0737 0.3118 (multiplicity 4)
16 O 0.1370 0.3906 0.3902 (multiplicity 4)
17 O 0.1424 0.3870 0.0569 (multiplicity 4)
18 O 0.1755 0.0644 0.1290 (multiplicity 4)
19 O 0.2510 0.2033 0.9745 (multiplicity 4)
20 O 0.2717 0.3108 0.1983 (multiplicity 4)
21 O 0.2960 0.3467 0.6715 (multiplicity 4)
22 O 0.3619 0.4709 0.3631 (multiplicity 4)
23 O 0.3741 0.0739 0.7857 (multiplicity 4)
24 O 0.4055 0.4255 0.1583 (multiplicity 4)
25 O 0.4173 0.0297 0.5809 (multiplicity 4)
26 O 0.4830 0.1549 0.2716 (multiplicity 4)

Largest 10 diffraction maxima, sorted by position, 2θ from 10° to 80°:
23.87°, d 3.728, intensity 40, hkl 3 1 -2; 26.60°, d 3.352, intensity 23, hkl 2 2 0; 26.89°, d 3.315, intensity 41, hkl 1 1 -3; 27.48°, d 3.246, intensity 25, hkl 3 1 2; 28.93°, d 3.086, intensity 100, hkl 4 0 2; 29.14°, d 3.064, intensity 21, hkl 5 1 0; 29.33°, d 3.045, intensity 35, hkl 0 2 2; 32.25°, d 2.776, intensity 25, hkl 2 2 2; 32.43°, d 2.761, intensity 37, hkl 2 0 -4; 41.29°, d 2.186, intensity 20, hkl 1 3 2

---

(6)
Computed X-ray diffraction stick pattern of U3Cu2S7 for Cu Kα (weighted mean of Kα1 and Kα2), from a structure optimized by DFT (GGA-PBE).
Lines closer than 0.1° are merged.

Structure:
a b c (Å): 9.6426 9.6426 5.6805
angles (deg): 90.00 90.00 120.00
Space group P6_3 (No. 173)
Inequivalent atoms, fractional coordinates:
1 U 0.1508 0.3800 0.0000 (multiplicity 6)
2 Cu 0.0000 0.0000 0.4700 (multiplicity 2)
3 Cu 0.3333 0.6667 0.6192 (multiplicity 2)
4 S 0.0797 0.5671 0.7517 (multiplicity 6)
5 S 0.1076 0.2619 0.4852 (multiplicity 6)
6 S 0.3333 0.6667 0.2211 (multiplicity 2)

Largest 10 diffraction maxima, sorted by position, 2θ from 10° to 80°:
18.89°, d 4.697, intensity 42, hkl 1 0 1; 24.21°, d 3.676, intensity 20, hkl 1 1 1; 26.49°, d 3.364, intensity 100, hkl 2 0 1; 28.27°, d 3.156, intensity 43, hkl 1 2 0; 31.50°, d 2.840, intensity 26, hkl 0 0 2; 35.93°, d 2.500, intensity 32, hkl 3 0 1; 37.30°, d 2.411, intensity 37, hkl 2 2 0; 42.13°, d 2.145, intensity 24, hkl 3 1 1; 42.83°, d 2.111, intensity 51, hkl 1 2 2; 52.76°, d 1.735, intensity 26, hkl 1 4 1

---

Q: What is the formula in the second record?
A: Hf2PbC